# KRe2PdO8
Simulated PXRD pattern, Cu Kα (λ = 1.5418 Å). Input: a DFT-relaxed cell (GGA-PBE, Alexandria).

Unit cell a=9.1524 b=6.3684 c=8.0113 alpha=90.00 beta=95.38 gamma=90.00
Space group C2/m (No. 12)
Symmetry-distinct sites (fractional):
K (0.0000, 0.0000, 0.0000) x2
Re (0.1339, 0.5000, 0.2691) x4
Pd (0.0000, 0.0000, 0.5000) x2
O (0.0253, 0.2726, 0.2815) x8
O (0.2110, 0.5000, 0.0772) x4
O (0.2265, 0.0000, 0.5623) x4

Principal peaks in the range 10 to 80 degrees two-theta, in order of falling intensity:
d (Å)	I/Imax
4.479	100
3.254	77
3.805	57
3.184	47
2.742	47
4.264	46
3.090	36
4.126	33
2.442	26
1.994	25
7.976	24
2.522	19


# K4PdRh3O8
Simulated PXRD pattern, Cu Kα (λ = 1.5418 Å). Input: a DFT-relaxed cell (GGA-PBE, Alexandria).

Unit cell a=11.5145 b=6.4633 c=6.8739 alpha=90.00 beta=123.15 gamma=90.00
Space group C2/m (No. 12)
Symmetry-distinct sites (fractional):
K (0.0000, 0.0000, 0.0000) x2
K (0.0000, 0.5000, 0.0000) x2
K (0.2500, 0.2500, 0.0000) x4
Pd (0.0000, 0.0000, 0.5000) x2
Rh (0.0000, 0.5000, 0.5000) x2
Rh (0.2500, 0.2500, 0.5000) x4
O (0.0327, 0.2478, 0.3368) x8
O (0.2207, 0.5000, 0.6680) x4
O (0.2428, 0.0000, 0.6853) x4

Principal peaks in the range 10 to 80 degrees two-theta, in order of falling intensity:
d (Å)	I/Imax
5.755	100
2.352	89
2.684	59
2.410	48
2.878	45
2.719	31
1.650	29
1.719	26
2.778	17
1.439	16
1.424	15
1.468	14


# KPdSO4
Simulated PXRD pattern, Cu Kα (λ = 1.5418 Å). Input: a DFT-relaxed cell (GGA-PBE, Alexandria).

Unit cell a=8.5556 b=8.5556 c=8.5556 alpha=90.00 beta=90.00 gamma=90.00
Space group F-43m (No. 216)
Symmetry-distinct sites (fractional):
K (0.0000, 0.0000, 0.0000) x4
Pd (0.2500, 0.2500, 0.7500) x4
S (0.0000, 0.0000, 0.5000) x4
O (0.1005, 0.1005, 0.6005) x16

Principal peaks in the range 10 to 80 degrees two-theta, in order of falling intensity:
d (Å)	I/Imax
4.940	100
3.025	97
1.746	33
1.963	30
2.580	27
1.512	15
1.446	13
1.647	13
1.353	12
2.139	8
1.305	5
2.470	4